For Sc6Zn3Tc, a crystal structure in Alexandria, relaxed with PBE gives the calculated powder XRD pattern in this record (copper Kα).
No peak broadening, texture or thermal motion is included.

Structure:
a b c (Å): 8.255 4.785 10.504
angles (deg): 90.00 109.45 90.00
Space group P2_1/m (No. 11)
Symmetry-distinct sites (fractional):
1 Sc 0.026 0.250 0.409 [2 per cell]
2 Sc 0.166 0.750 0.170 [2 per cell]
3 Sc 0.268 0.250 0.006 [2 per cell]
4 Sc 0.351 0.750 0.825 [2 per cell]
5 Sc 0.372 0.250 0.335 [2 per cell]
6 Sc 0.392 0.250 0.632 [2 per cell]
7 Zn 0.027 0.750 0.872 [2 per cell]
8 Zn 0.106 0.250 0.721 [2 per cell]
9 Zn 0.269 0.750 0.469 [2 per cell]
10 Tc 0.457 0.750 0.102 [2 per cell]

Peak list (12 most intense, 2θ from 10° to 90°, by angle)
- d = 3.457 Å, rel. 17
- d = 2.500 Å, rel. 37
- d = 2.392 Å, rel. 61
- d = 2.380 Å, rel. 86
- d = 2.371 Å, rel. 100
- d = 2.350 Å, rel. 16
- d = 2.216 Å, rel. 18
- d = 1.729 Å, rel. 22
- d = 1.635 Å, rel. 12
- d = 1.378 Å, rel. 29
- d = 1.373 Å, rel. 8
- d = 1.350 Å, rel. 12

---

For Zr2ScTc2, a crystal structure in Alexandria, relaxed with PBE gives the calculated powder XRD pattern in this record (copper Kα).
No peak broadening, texture or thermal motion is included.

Structure:
a b c (Å): 3.346 4.840 11.797
angles (deg): 90.00 97.96 90.00
Space group P2_1/m (No. 11)
Symmetry-distinct sites (fractional):
1 Zr 0.047 0.250 0.096 [2 per cell]
2 Zr 0.232 0.250 0.464 [2 per cell]
3 Sc 0.142 0.750 0.282 [2 per cell]
4 Tc 0.356 0.750 0.710 [2 per cell]
5 Tc 0.453 0.250 0.905 [2 per cell]

Peak list (12 most intense, 2θ from 10° to 90°, by angle)
- d = 4.472 Å, rel. 8
- d = 3.727 Å, rel. 6
- d = 2.420 Å, rel. 29
- d = 2.372 Å, rel. 100
- d = 2.337 Å, rel. 18
- d = 1.681 Å, rel. 13
- d = 1.673 Å, rel. 9
- d = 1.388 Å, rel. 17
- d = 1.376 Å, rel. 9
- d = 1.358 Å, rel. 7
- d = 1.354 Å, rel. 4
- d = 1.184 Å, rel. 4